Zn2Bi3O8: simulated X-ray powder pattern (CuKα), based on a structure optimized by DFT (PBE).
Neutral-atom scattering factors, no anomalous dispersion.

Crystal structure
```
data_Zn2Bi3O8
_symmetry_space_group_name_H-M 'C 1 2/m 1'
_symmetry_Int_Tables_number 12
_symmetry_space_group_name_Hall '-C 2y'
_cell_length_a 10.2890
_cell_length_b 7.0080
_cell_length_c 5.8367
_cell_angle_alpha 90.00
_cell_angle_beta 113.19
_cell_angle_gamma 90.00
loop_
_atom_site_label
_atom_site_type_symbol
_atom_site_fract_x
_atom_site_fract_y
_atom_site_fract_z
Zn1 Zn 0.1643 0.0000 0.1352
Bi1 Bi 0.0000 0.2332 0.5000
Bi2 Bi 0.0000 0.5000 0.0000
O1 O 0.1149 0.2416 0.2578
O2 O 0.1204 0.5000 0.7209
O3 O 0.1230 0.0000 0.7549
```

Most intense lines, 15° ≤ 2θ ≤ 90°, sorted by position:
2θ 18.8, I = 100, hkl 2 0 0
2θ 25.5, I = 27, hkl 1 1 1
2θ 29.5, I = 25, hkl 3 1 -1
2θ 30.5, I = 98, hkl 0 2 1
2θ 31.2, I = 70, hkl 2 0 -2
2θ 32.3, I = 47, hkl 2 2 -1
2θ 39.5, I = 36, hkl 2 2 1
2θ 39.7, I = 27, hkl 4 0 -2
2θ 53.9, I = 29, hkl 2 2 -3
2θ 62.1, I = 20, hkl 2 4 -2